Computed PXRD pattern of LiNi2OF3 for Cu Kα (λ = 1.5418 Å), from DFT lattice parameters and positions (PBE+U).
Kinematic intensities with the Lorentz-polarization factor, no thermal factor.

Structure:
Cell lengths 5.952, 5.952, 5.024 Å; angles 90.00, 90.00, 120.00 degrees
Atoms (fractional coordinates):
Li  0.333  0.667  0.469
Li  0.667  0.333  0.531
Ni  0.000  0.000  0.500
Ni  0.000  0.500  0.000
Ni  0.500  0.000  0.000
Ni  0.500  0.500  0.000
O  0.333  0.667  0.831
O  0.667  0.333  0.169
F  0.168  0.337  0.274
F  0.168  0.832  0.274
F  0.337  0.168  0.726
F  0.663  0.832  0.274
F  0.832  0.168  0.726
F  0.832  0.663  0.726

The 6 most intense peaks (10° ≤ 2θ ≤ 90°), most intense first:
d 3.598, 2θ = 24.75°, intensity 100, (1 0 1)
d 1.799, 2θ = 50.75°, intensity 69, (2 0 2)
d 2.293, 2θ = 39.29°, intensity 51, (0 2 1)
d 2.577, 2θ = 34.81°, intensity 35, (2 0 0)
d 2.561, 2θ = 35.04°, intensity 30, (1 1 1)
d 1.488, 2θ = 62.40°, intensity 28, (2 2 0)